# 1
# CaPr3Sb4
Computed X-ray powder pattern, copper Kα. Input: DFT lattice parameters and positions (GGA-PBE).
Intensities are scaled so that the largest is 100.

Cell and atoms:
```
data_CaPr3Sb4
_chemical_formula_sum 'Ca2 Pr6 Sb8'
_cell_length_a 9.122
_cell_length_b 12.893
_cell_length_c 4.553
_cell_angle_alpha 90.00
_cell_angle_beta 90.00
_cell_angle_gamma 90.00
_symmetry_space_group_name_H-M 'C m m m'
_symmetry_Int_Tables_number 65
_symmetry_space_group_name_Hall '-C 2 2'
loop_
_atom_site_label
_atom_site_type_symbol
_atom_site_fract_x
_atom_site_fract_y
_atom_site_fract_z
Ca1 Ca 0.000 0.000 0.000
Pr1 Pr 0.000 0.500 0.000
Pr2 Pr 0.250 0.250 0.500
Sb1 Sb 0.000 0.250 0.000
Sb2 Sb 0.250 0.000 0.500
```

Largest 10 diffraction maxima, low angle first, 2θ = 10–90°:
h k l, 2theta, intensity
1 1 0, 11.88, 5
2 0 1, 27.68, 100
4 0 0, 39.55, 77
4 4 0, 48.96, 27
4 0 2, 57.17, 13
6 0 1, 64.67, 29
2 0 3, 64.74, 6
6 4 1, 71.72, 17
2 4 3, 71.80, 9
8 0 0, 85.14, 7

***

# 2
# CsPrTc2O8
Computed X-ray powder pattern, copper Kα. Input: DFT lattice parameters and positions (GGA-PBE).
Intensities are scaled so that the largest is 100.

Cell and atoms:
```
data_CsPrTc2O8
_chemical_formula_sum 'Cs1 Pr1 Tc2 O8'
_cell_length_a 6.1611
_cell_length_b 6.1611
_cell_length_c 8.5663
_cell_angle_alpha 90.00
_cell_angle_beta 90.00
_cell_angle_gamma 120.00
_symmetry_space_group_name_H-M 'P -3'
_symmetry_Int_Tables_number 147
_symmetry_space_group_name_Hall '-P 3'
loop_
_atom_site_label
_atom_site_type_symbol
_atom_site_fract_x
_atom_site_fract_y
_atom_site_fract_z
Cs1 Cs 0.0000 0.0000 0.0000
Pr1 Pr 0.0000 0.0000 0.5000
Tc1 Tc 0.3333 0.6667 0.7430
O1 O 0.1733 0.8234 0.6713
O2 O 0.3333 0.6667 0.9471
```

Largest 10 diffraction maxima, low angle first, 2θ = 10–90°:
h k l, 2theta, intensity
1 0 0, 16.61, 33
0 1 1, 19.60, 83
0 1 2, 26.69, 100
1 1 0, 28.99, 73
0 2 2, 39.81, 42
3 -2 1, 46.25, 15
1 2 2, 49.99, 34
2 -1 4, 52.01, 30
4 -1 2, 66.89, 15
1 4 0, 82.88, 17

***

# 3
# Ce4Se3S
Computed X-ray powder pattern, copper Kα. Input: DFT lattice parameters and positions (GGA-PBE).
Intensities are scaled so that the largest is 100.

Cell and atoms:
```
data_Ce4Se3S
_chemical_formula_sum 'Ce8 Se6 S2'
_cell_length_a 8.319
_cell_length_b 11.751
_cell_length_c 4.148
_cell_angle_alpha 90.00
_cell_angle_beta 90.00
_cell_angle_gamma 90.00
_symmetry_space_group_name_H-M 'C m m m'
_symmetry_Int_Tables_number 65
_symmetry_space_group_name_Hall '-C 2 2'
loop_
_atom_site_label
_atom_site_type_symbol
_atom_site_fract_x
_atom_site_fract_y
_atom_site_fract_z
Ce1 Ce 0.000 0.244 0.000
Ce2 Ce 0.238 0.000 0.500
Se1 Se 0.000 0.500 0.000
Se2 Se 0.250 0.250 0.500
S1 S 0.000 0.000 0.000
```

Largest 10 diffraction maxima, low angle first, 2θ = 10–90°:
h k l, 2theta, intensity
0 2 1, 26.27, 22
2 0 1, 30.43, 100
2 4 1, 43.56, 61
0 0 2, 43.64, 12
4 4 0, 54.02, 13
0 4 2, 54.13, 13
4 0 2, 63.32, 12
4 4 2, 71.85, 27
4 8 0, 79.94, 12
2 4 3, 80.08, 12

***

# 4
# Zr3TlH
Computed X-ray powder pattern, copper Kα. Input: DFT lattice parameters and positions (GGA-PBE).
Intensities are scaled so that the largest is 100.

Cell and atoms:
```
data_Zr3TlH
_chemical_formula_sum 'Zr6 Tl2 H2'
_cell_length_a 5.288
_cell_length_b 6.158
_cell_length_c 6.778
_cell_angle_alpha 73.52
_cell_angle_beta 89.99
_cell_angle_gamma 64.68
_symmetry_space_group_name_H-M 'P 1'
_symmetry_Int_Tables_number 1
_symmetry_space_group_name_Hall 'P 1'
loop_
_atom_site_label
_atom_site_type_symbol
_atom_site_fract_x
_atom_site_fract_y
_atom_site_fract_z
Zr1 Zr 0.000 0.000 0.000
Zr2 Zr 0.015 0.001 0.503
Zr3 Zr 0.255 0.507 0.369
Zr4 Zr 0.515 0.986 0.262
Zr5 Zr 0.753 0.493 0.631
Zr6 Zr 0.769 0.492 0.128
Tl1 Tl 0.267 0.481 0.890
Tl2 Tl 0.502 0.013 0.741
H1 H 0.386 0.750 0.178
H2 H 0.889 0.744 0.452
```

Largest 10 diffraction maxima, low angle first, 2θ = 10–90°:
h k l, 2theta, intensity
2 1 0, 33.91, 100
1 2 2, 35.64, 89
1 0 2, 35.89, 85
2 -1 0, 48.67, 18
2 3 0, 48.77, 18
1 4 2, 61.64, 17
3 3 2, 61.79, 18
3 1 2, 61.96, 17
1 3 -2, 62.15, 16
2 2 4, 65.42, 15

***

# 5
# LiPmCo
Computed X-ray powder pattern, copper Kα. Input: DFT lattice parameters and positions (GGA-PBE).
Intensities are scaled so that the largest is 100.

Cell and atoms:
```
data_LiPmCo
_chemical_formula_sum 'Li4 Pm4 Co4'
_cell_length_a 3.920
_cell_length_b 17.280
_cell_length_c 3.908
_cell_angle_alpha 90.00
_cell_angle_beta 90.00
_cell_angle_gamma 90.00
_symmetry_space_group_name_H-M 'C m c m'
_symmetry_Int_Tables_number 63
_symmetry_space_group_name_Hall '-C 2c 2'
loop_
_atom_site_label
_atom_site_type_symbol
_atom_site_fract_x
_atom_site_fract_y
_atom_site_fract_z
Li1 Li 0.000 0.206 0.250
Pm1 Pm 0.000 0.407 0.250
Co1 Co 0.000 0.033 0.250
```

Largest 10 diffraction maxima, low angle first, 2θ = 10–90°:
h k l, 2theta, intensity
0 2 0, 10.24, 100
0 2 1, 25.01, 24
1 1 1, 32.77, 20
1 5 0, 34.60, 30
1 3 1, 36.00, 51
2 0 0, 46.32, 9
0 0 2, 46.48, 9
0 8 1, 48.13, 15
1 5 2, 59.22, 12
2 8 1, 69.02, 10

***

# 6
# Mg2As2Pd
Computed X-ray powder pattern, copper Kα. Input: DFT lattice parameters and positions (GGA-PBE).
Intensities are scaled so that the largest is 100.

Cell and atoms:
```
data_Mg2As2Pd
_chemical_formula_sum 'Mg4 As4 Pd2'
_cell_length_a 6.893
_cell_length_b 6.893
_cell_length_c 3.994
_cell_angle_alpha 90.00
_cell_angle_beta 90.00
_cell_angle_gamma 90.00
_symmetry_space_group_name_H-M 'P 4/m b m'
_symmetry_Int_Tables_number 127
_symmetry_space_group_name_Hall '-P 4 2ab'
loop_
_atom_site_label
_atom_site_type_symbol
_atom_site_fract_x
_atom_site_fract_y
_atom_site_fract_z
Mg1 Mg 0.162 0.338 0.000
As1 As 0.150 0.650 0.500
Pd1 Pd 0.000 0.000 0.500
```

Largest 10 diffraction maxima, low angle first, 2θ = 10–90°:
h k l, 2theta, intensity
0 0 1, 22.26, 70
2 1 0, 28.94, 36
2 0 1, 34.37, 15
2 1 1, 36.84, 100
3 1 0, 41.43, 60
0 0 2, 45.42, 23
3 1 1, 47.52, 48
4 2 0, 60.01, 19
3 1 2, 63.15, 33
5 2 1, 78.43, 22

***

# 7
# Be3Tc4
Computed X-ray powder pattern, copper Kα. Input: DFT lattice parameters and positions (GGA-PBE).
Intensities are scaled so that the largest is 100.

Cell and atoms:
```
data_Be3Tc4
_chemical_formula_sum 'Be3 Tc4'
_cell_length_a 4.4916
_cell_length_b 4.4916
_cell_length_c 4.7421
_cell_angle_alpha 90.00
_cell_angle_beta 90.00
_cell_angle_gamma 120.00
_symmetry_space_group_name_H-M 'P 6/m m m'
_symmetry_Int_Tables_number 191
_symmetry_space_group_name_Hall '-P 6 2'
loop_
_atom_site_label
_atom_site_type_symbol
_atom_site_fract_x
_atom_site_fract_y
_atom_site_fract_z
Be1 Be 0.0000 0.5000 0.0000
Tc1 Tc 0.0000 0.0000 0.2451
Tc2 Tc 0.3333 0.6667 0.5000
```

Largest 10 diffraction maxima, low angle first, 2θ = 10–90°:
h k l, 2theta, intensity
0 0 1, 18.71, 46
1 0 0, 22.86, 25
1 0 1, 29.71, 29
1 1 0, 40.15, 100
1 1 1, 44.65, 38
1 0 2, 44.76, 88
2 0 2, 61.68, 28
3 0 0, 72.96, 16
2 1 2, 76.18, 42
2 2 0, 86.71, 12

***

# 8
# Tl2Se2O5
Computed X-ray powder pattern, copper Kα. Input: DFT lattice parameters and positions (GGA-PBE).
Intensities are scaled so that the largest is 100.

Cell and atoms:
```
data_Tl2Se2O5
_chemical_formula_sum 'Tl2 Se2 O5'
_cell_length_a 6.033
_cell_length_b 6.613
_cell_length_c 7.051
_cell_angle_alpha 114.08
_cell_angle_beta 94.16
_cell_angle_gamma 114.66
_symmetry_space_group_name_H-M 'P 1'
_symmetry_Int_Tables_number 1
_symmetry_space_group_name_Hall 'P 1'
loop_
_atom_site_label
_atom_site_type_symbol
_atom_site_fract_x
_atom_site_fract_y
_atom_site_fract_z
Tl1 Tl 0.000 0.000 0.000
Tl2 Tl 0.200 0.386 0.684
Se1 Se 0.496 0.927 0.277
Se2 Se 0.748 0.544 0.407
O1 O 0.184 0.836 0.211
O2 O 0.482 0.547 0.466
O3 O 0.547 0.733 0.059
O4 O 0.637 0.205 0.216
O5 O 0.924 0.591 0.638
```

Largest 10 diffraction maxima, low angle first, 2θ = 10–90°:
h k l, 2theta, intensity
0 1 -1, 16.02, 99
1 -1 0, 17.04, 65
-1 1 1, 24.38, 61
1 0 1, 25.33, 76
1 1 -1, 26.21, 91
0 1 1, 27.10, 100
1 -2 1, 27.42, 87
1 0 -2, 29.03, 71
2 -1 0, 29.71, 91
1 -1 2, 30.85, 60

***

# 9
# RbAg2F8
Computed X-ray powder pattern, copper Kα. Input: DFT lattice parameters and positions (GGA-PBE).
Intensities are scaled so that the largest is 100.

Cell and atoms:
```
data_RbAg2F8
_chemical_formula_sum 'Rb1 Ag2 F8'
_cell_length_a 4.805
_cell_length_b 6.713
_cell_length_c 6.740
_cell_angle_alpha 77.89
_cell_angle_beta 82.25
_cell_angle_gamma 82.46
_symmetry_space_group_name_H-M 'P -1'
_symmetry_Int_Tables_number 2
_symmetry_space_group_name_Hall '-P 1'
loop_
_atom_site_label
_atom_site_type_symbol
_atom_site_fract_x
_atom_site_fract_y
_atom_site_fract_z
Rb1 Rb 0.000 0.000 0.000
Ag1 Ag 0.294 0.375 0.375
F1 F 0.225 0.571 0.571
F2 F 0.286 0.146 0.605
F3 F 0.289 0.606 0.148
F4 F 0.363 0.186 0.186
```

Largest 10 diffraction maxima, low angle first, 2θ = 10–90°:
h k l, 2theta, intensity
0 0 1, 13.54, 49
0 1 -1, 21.01, 86
1 1 1, 23.24, 85
1 -1 0, 24.38, 100
0 1 2, 28.03, 36
2 0 1, 38.97, 48
2 1 0, 39.08, 26
0 2 -2, 42.77, 33
0 2 3, 45.27, 21
2 2 -1, 50.01, 13

***

# 10
# Pm2Si3B
Computed X-ray powder pattern, copper Kα. Input: DFT lattice parameters and positions (GGA-PBE).
Intensities are scaled so that the largest is 100.

Cell and atoms:
```
data_Pm2Si3B
_chemical_formula_sum 'Pm16 Si24 B8'
_cell_length_a 7.715
_cell_length_b 8.617
_cell_length_c 13.144
_cell_angle_alpha 90.00
_cell_angle_beta 90.00
_cell_angle_gamma 90.00
_symmetry_space_group_name_H-M 'F m m m'
_symmetry_Int_Tables_number 69
_symmetry_space_group_name_Hall '-F 2 2'
loop_
_atom_site_label
_atom_site_type_symbol
_atom_site_fract_x
_atom_site_fract_y
_atom_site_fract_z
Pm1 Pm 0.000 0.245 0.000
Pm2 Pm 0.250 0.250 0.250
Si1 Si 0.000 0.000 0.177
Si2 Si 0.230 0.000 0.410
B1 B 0.000 0.000 0.333
```

Largest 10 diffraction maxima, low angle first, 2θ = 10–90°:
h k l, 2theta, intensity
0 2 0, 20.62, 28
2 0 2, 26.80, 49
0 0 4, 27.14, 23
2 2 2, 34.05, 100
0 2 4, 34.32, 50
0 4 0, 41.94, 18
2 0 6, 47.74, 24
2 4 2, 50.47, 18
4 2 4, 59.58, 19
2 4 6, 65.40, 19

***

# 11
# RbGaH3
Computed X-ray powder pattern, copper Kα. Input: DFT lattice parameters and positions (GGA-PBE).
Intensities are scaled so that the largest is 100.

Cell and atoms:
```
data_RbGaH3
_chemical_formula_sum 'Rb4 Ga4 H12'
_cell_length_a 7.317
_cell_length_b 10.864
_cell_length_c 4.984
_cell_angle_alpha 90.00
_cell_angle_beta 90.00
_cell_angle_gamma 90.00
_symmetry_space_group_name_H-M 'I m m 2'
_symmetry_Int_Tables_number 44
_symmetry_space_group_name_Hall 'I 2 -2'
loop_
_atom_site_label
_atom_site_type_symbol
_atom_site_fract_x
_atom_site_fract_y
_atom_site_fract_z
Rb1 Rb 0.000 0.186 0.000
Ga1 Ga 0.170 0.500 0.089
H1 H 0.230 0.120 0.459
H2 H 0.247 0.500 0.394
```

Largest 10 diffraction maxima, low angle first, 2θ = 10–90°:
h k l, 2theta, intensity
0 1 1, 19.60, 22
1 0 1, 21.57, 100
1 3 0, 27.48, 54
2 2 0, 29.44, 34
0 3 1, 30.51, 64
2 1 1, 31.43, 28
0 0 2, 36.04, 18
3 1 0, 37.80, 19
3 2 1, 44.60, 34
1 3 2, 45.91, 20

***

# 12
# K2Si3SnO9
Computed X-ray powder pattern, copper Kα. Input: DFT lattice parameters and positions (GGA-PBE).
Intensities are scaled so that the largest is 100.

Cell and atoms:
```
data_K2Si3SnO9
_chemical_formula_sum 'K12 Si18 Sn6 O54'
_cell_length_a 10.3227
_cell_length_b 10.3227
_cell_length_c 15.0113
_cell_angle_alpha 90.00
_cell_angle_beta 90.00
_cell_angle_gamma 120.00
_symmetry_space_group_name_H-M 'R 3'
_symmetry_Int_Tables_number 146
_symmetry_space_group_name_Hall 'R 3'
loop_
_atom_site_label
_atom_site_type_symbol
_atom_site_fract_x
_atom_site_fract_y
_atom_site_fract_z
K1 K 0.0000 0.0000 0.0000
K2 K 0.0068 0.2308 0.5012
Si1 Si 0.0683 0.7256 0.3285
Si2 Si 0.1218 0.7743 0.8277
Sn1 Sn 0.0000 0.0000 0.2715
Sn2 Sn 0.0000 0.0000 0.7529
O1 O 0.0245 0.6770 0.2228
O2 O 0.0432 0.8647 0.3546
O3 O 0.0726 0.1866 0.8357
O4 O 0.0873 0.7084 0.7242
O5 O 0.1834 0.0482 0.1902
O6 O 0.1901 0.0932 0.6732
```

Largest 10 diffraction maxima, low angle first, 2θ = 10–90°:
h k l, 2theta, intensity
0 1 2, 15.41, 100
1 1 0, 17.18, 49
2 -1 3, 24.78, 25
1 0 4, 25.75, 21
3 -2 2, 28.98, 74
3 0 0, 29.99, 31
0 2 4, 31.12, 38
2 1 4, 35.76, 23
2 -1 6, 40.05, 15
4 -3 4, 43.76, 29

***

# 13
# RbLaNb
Computed X-ray powder pattern, copper Kα. Input: DFT lattice parameters and positions (GGA-PBE).
Intensities are scaled so that the largest is 100.

Cell and atoms:
```
data_RbLaNb
_chemical_formula_sum 'Rb1 La1 Nb1'
_cell_length_a 3.336
_cell_length_b 3.338
_cell_length_c 9.478
_cell_angle_alpha 82.53
_cell_angle_beta 83.13
_cell_angle_gamma 75.45
_symmetry_space_group_name_H-M 'P 1'
_symmetry_Int_Tables_number 1
_symmetry_space_group_name_Hall 'P 1'
loop_
_atom_site_label
_atom_site_type_symbol
_atom_site_fract_x
_atom_site_fract_y
_atom_site_fract_z
Rb1 Rb 0.000 0.000 0.000
La1 La 0.105 0.132 0.428
Nb1 Nb 0.539 0.558 0.659
```

Largest 10 diffraction maxima, low angle first, 2θ = 10–90°:
h k l, 2theta, intensity
0 0 2, 18.97, 71
0 0 3, 28.61, 63
1 0 -1, 30.20, 58
0 1 -1, 30.34, 65
0 1 2, 32.11, 100
1 0 2, 32.32, 97
1 1 0, 34.41, 61
1 0 -2, 35.27, 55
0 1 -2, 35.50, 49
1 -1 0, 44.37, 45

***

# 14
# SnTe2RuPt
Computed X-ray powder pattern, copper Kα. Input: DFT lattice parameters and positions (GGA-PBE).
Intensities are scaled so that the largest is 100.

Cell and atoms:
```
data_SnTe2RuPt
_chemical_formula_sum 'Sn1 Te2 Ru1 Pt1'
_cell_length_a 5.128
_cell_length_b 5.128
_cell_length_c 5.056
_cell_angle_alpha 90.00
_cell_angle_beta 90.00
_cell_angle_gamma 90.00
_symmetry_space_group_name_H-M 'P 4/m m m'
_symmetry_Int_Tables_number 123
_symmetry_space_group_name_Hall '-P 4 2'
loop_
_atom_site_label
_atom_site_type_symbol
_atom_site_fract_x
_atom_site_fract_y
_atom_site_fract_z
Sn1 Sn 0.000 0.000 0.000
Te1 Te 0.000 0.500 0.500
Ru1 Ru 0.000 0.000 0.500
Pt1 Pt 0.500 0.500 0.000
```

Largest 10 diffraction maxima, low angle first, 2θ = 10–90°:
h k l, 2theta, intensity
1 0 1, 24.73, 24
1 1 1, 30.34, 100
2 0 0, 35.00, 72
0 0 2, 35.51, 35
2 2 0, 50.33, 26
2 0 2, 50.72, 51
3 1 1, 59.90, 30
1 1 3, 60.59, 14
2 2 2, 63.11, 26
3 1 3, 82.56, 12